Structure and computed powder X-ray diffraction pattern of Ac2TeC2 (a structure optimized by DFT (PBE); Cu Kα (weighted mean of Kα1 and Kα2)).
Neutral-atom scattering factors, no anomalous dispersion.

Main lines, low angle first (10 to 90 degrees two-theta):
- 24.12 deg, rel. 34.0, hkl 1 1 1
- 27.42 deg, rel. 100.0, hkl 3 1 -1
- 28.60 deg, rel. 44.3, hkl 2 0 2
- 30.23 deg, rel. 36.4, hkl 3 1 1
- 39.26 deg, rel. 24.1, hkl 5 1 1
- 40.80 deg, rel. 36.2, hkl 1 1 -3

Crystal structure
```
data_Ac2TeC2
_chemical_formula_sum 'Ac8 Te4 C8'
_cell_length_a 15.540
_cell_length_b 4.574
_cell_length_c 7.583
_cell_angle_alpha 90.00
_cell_angle_beta 100.91
_cell_angle_gamma 90.00
_space_group_name_H-M_alt 'C 1 2/c 1'
_space_group_IT_number 15
_space_group_name_Hall '-C 2yc'
loop_
_atom_site_label
_atom_site_fract_x
_atom_site_fract_y
_atom_site_fract_z
Ac1 0.147 0.203 0.143
Te1 0.000 0.292 0.750
C1 0.232 0.366 0.529
```